Entry 1:
The following is a calculated XRD peak list of TbNdInPb. It was derived from a structure optimized by DFT (GGA-PBE), using CuKα.

Top 10 peaks for 2θ from 5° to 70°, sorted by position:
| two_theta | d [Å] | I/Imax | index |
| --- | --- | --- | --- |
| 20.2 | 4.400 | 6 | 1 0 1 |
| 32.0 | 2.795 | 100 | 1 1 2 |
| 35.6 | 2.523 | 38 | 2 0 0 |
| 40.1 | 2.248 | 14 | 0 0 4 |
| 41.2 | 2.189 | 2 | 2 1 1 |
| 51.2 | 1.784 | 13 | 2 2 0 |
| 54.7 | 1.678 | 22 | 2 0 4 |
| 61.7 | 1.504 | 31 | 3 1 2 |
| 67.0 | 1.397 | 12 | 2 2 4 |
| 67.8 | 1.382 | 12 | 1 1 6 |

Structural model:
```
data_TbNdInPb
_cell_length_a 5.046
_cell_length_b 5.046
_cell_length_c 8.992
_cell_angle_alpha 90.00
_cell_angle_beta 90.00
_cell_angle_gamma 90.00
_space_group_name_H-M_alt 'I -4 m 2'
_space_group_IT_number 119
_space_group_name_Hall 'I -4 -2'
loop_
_atom_site_label
_atom_site_fract_x
_atom_site_fract_y
_atom_site_fract_z
Tb1 0.000 0.000 0.000
Nd1 0.000 0.000 0.500
In1 0.000 0.500 0.250
Pb1 0.000 0.500 0.750
```

Entry 2:
The following is a calculated XRD peak list of LaSiO3F. It was derived from a structure optimized by DFT (GGA-PBE), using CuKα.

Top 10 peaks for 2θ from 5° to 70°, sorted by position:
| two_theta | d [Å] | I/Imax | index |
| --- | --- | --- | --- |
| 16.1 | 5.489 | 46 | 0 0 2 |
| 25.0 | 3.564 | 55 | 1 1 0 |
| 29.9 | 2.989 | 100 | 1 1 2 |
| 32.6 | 2.744 | 18 | 0 0 4 |
| 41.5 | 2.174 | 49 | 1 1 4 |
| 44.0 | 2.058 | 27 | 3 0 0 |
| 47.2 | 1.927 | 32 | 3 0 2 |
| 54.1 | 1.695 | 16 | 2 2 2 |
| 55.8 | 1.646 | 14 | 3 0 4 |
| 56.5 | 1.628 | 19 | 1 1 6 |

Structural model:
```
data_LaSiO3F
_cell_length_a 7.1274
_cell_length_b 7.1274
_cell_length_c 10.9777
_cell_angle_alpha 90.00
_cell_angle_beta 90.00
_cell_angle_gamma 120.00
_space_group_name_H-M_alt 'P -6 2 c'
_space_group_IT_number 190
_space_group_name_Hall 'P -6c -2c'
loop_
_atom_site_label
_atom_site_fract_x
_atom_site_fract_y
_atom_site_fract_z
La1 0.0000 0.6424 0.0000
Si1 0.0487 0.2726 0.2500
O1 0.0432 0.8062 0.7500
O2 0.0801 0.3975 0.1229
F1 0.0000 0.0000 0.0000
F2 0.3333 0.6667 0.5746
```

Entry 3:
The following is a calculated XRD peak list of BaCaZn2. It was derived from a structure optimized by DFT (GGA-PBE), using CuKα.

Top 10 peaks for 2θ from 5° to 70°, sorted by position:
| two_theta | d [Å] | I/Imax | index |
| --- | --- | --- | --- |
| 11.7 | 7.564 | 100 | 0 0 3 |
| 22.8 | 3.894 | 31 | 1 0 1 |
| 23.8 | 3.733 | 26 | 0 1 2 |
| 27.5 | 3.243 | 86 | 1 0 4 |
| 30.0 | 2.981 | 100 | 0 1 5 |
| 35.8 | 2.506 | 42 | 1 0 7 |
| 39.5 | 2.282 | 85 | 1 1 0 |
| 41.3 | 2.185 | 28 | 1 1 3 |
| 54.2 | 1.692 | 37 | 1 1 9 |
| 63.9 | 1.456 | 27 | 1 1 12 |

Structural model:
```
data_BaCaZn2
_cell_length_a 4.5643
_cell_length_b 4.5643
_cell_length_c 22.6908
_cell_angle_alpha 90.00
_cell_angle_beta 90.00
_cell_angle_gamma 120.00
_space_group_name_H-M_alt 'R 3 m'
_space_group_IT_number 160
_space_group_name_Hall 'R 3 -2"'
loop_
_atom_site_label
_atom_site_fract_x
_atom_site_fract_y
_atom_site_fract_z
Ba1 0.0000 0.0000 0.0000
Ca1 0.0000 0.0000 0.8248
Zn1 0.0000 0.0000 0.2330
Zn2 0.0000 0.0000 0.5663
```

Entry 4:
The following is a calculated XRD peak list of Sm2Tm6Sc3. It was derived from a structure optimized by DFT (GGA-PBE), using CuKα.

Top 10 peaks for 2θ from 5° to 70°, sorted by position:
| two_theta | d [Å] | I/Imax | index |
| --- | --- | --- | --- |
| 15.9 | 5.567 | 26 | 0 0 2 |
| 30.6 | 2.923 | 18 | 2 0 0 |
| 32.0 | 2.798 | 100 | 1 3 1 |
| 32.2 | 2.784 | 31 | 0 0 4 |
| 37.2 | 2.420 | 65 | 2 0 2 |
| 53.5 | 1.714 | 23 | 0 6 0 |
| 53.7 | 1.708 | 21 | 1 3 5 |
| 63.7 | 1.462 | 18 | 2 6 -2 |
| 63.7 | 1.460 | 13 | 4 0 0 |
| 63.9 | 1.457 | 17 | 3 3 3 |

Structural model:
```
data_Sm2Tm6Sc3
_cell_length_a 5.933
_cell_length_b 10.295
_cell_length_c 11.313
_cell_angle_alpha 90.00
_cell_angle_beta 100.20
_cell_angle_gamma 90.00
_space_group_name_H-M_alt 'C 1 2/m 1'
_space_group_IT_number 12
loop_
_space_group_symop_operation_xyz
'x,y,z'
'-x,-y,-z'
'-x,y,-z'
'x,-y,z'
'x+1/2,y+1/2,z'
'-x+1/2,-y+1/2,-z'
'-x+1/2,y+1/2,-z'
'x+1/2,-y+1/2,z'
loop_
_atom_site_label
_atom_site_fract_x
_atom_site_fract_y
_atom_site_fract_z
Sm1 0.000 0.166 0.000
Tm1 0.247 0.167 0.739
Tm2 0.248 0.500 0.740
Sc1 0.000 0.000 0.500
Sc2 0.000 0.335 0.500
```

Entry 5:
The following is a calculated XRD peak list of Ac2Dy3Au4. It was derived from a structure optimized by DFT (GGA-PBE), using CuKα.

Top 10 peaks for 2θ from 5° to 70°, sorted by position:
| two_theta | d [Å] | I/Imax | index |
| --- | --- | --- | --- |
| 28.6 | 3.118 | 41 | 2 1 -2 |
| 29.7 | 3.007 | 29 | 1 2 1 |
| 30.9 | 2.894 | 67 | 1 1 2 |
| 31.1 | 2.879 | 25 | 1 2 -2 |
| 32.2 | 2.776 | 100 | 2 2 -1 |
| 33.1 | 2.709 | 78 | 1 1 -3 |
| 35.2 | 2.547 | 18 | 3 0 -2 |
| 36.1 | 2.486 | 46 | 0 3 1 |
| 36.4 | 2.465 | 34 | 3 0 0 |
| 43.5 | 2.079 | 17 | 1 1 -4 |

Structural model:
```
data_Ac2Dy3Au4
_cell_length_a 7.915
_cell_length_b 7.836
_cell_length_c 8.662
_cell_angle_alpha 90.00
_cell_angle_beta 110.86
_cell_angle_gamma 90.00
_space_group_name_H-M_alt 'P 1 21/c 1'
_space_group_IT_number 14
loop_
_space_group_symop_operation_xyz
'x,y,z'
'-x,-y,-z'
'-x,y+1/2,-z+1/2'
'x,-y+1/2,z+1/2'
loop_
_atom_site_label
_atom_site_fract_x
_atom_site_fract_y
_atom_site_fract_z
Ac1 0.194 0.170 0.089
Dy1 0.248 0.650 0.250
Dy2 0.500 0.000 0.500
Au1 0.100 0.551 0.880
Au2 0.484 0.637 0.622
```

Entry 6:
The following is a calculated XRD peak list of Tb12Er5Cd2. It was derived from a structure optimized by DFT (GGA-PBE), using CuKα.

Top 10 peaks for 2θ from 5° to 70°, sorted by position:
| two_theta | d [Å] | I/Imax | index |
| --- | --- | --- | --- |
| 29.1 | 3.072 | 24 | 0 2 2 |
| 30.2 | 2.957 | 24 | 4 2 0 |
| 31.1 | 2.874 | 41 | 2 2 -2 |
| 31.7 | 2.823 | 23 | 1 3 -1 |
| 31.8 | 2.814 | 26 | 1 3 1 |
| 32.1 | 2.788 | 100 | 4 0 2 |
| 32.4 | 2.765 | 36 | 4 2 1 |
| 34.3 | 2.616 | 46 | 1 1 -3 |
| 36.0 | 2.496 | 28 | 3 3 1 |
| 37.0 | 2.431 | 26 | 1 3 -2 |

Structural model:
```
data_Tb12Er5Cd2
_cell_length_a 15.484
_cell_length_b 9.166
_cell_length_c 8.281
_cell_angle_alpha 90.00
_cell_angle_beta 91.47
_cell_angle_gamma 90.00
_space_group_name_H-M_alt 'C 1 2/m 1'
_space_group_IT_number 12
loop_
_space_group_symop_operation_xyz
'x,y,z'
'-x,-y,-z'
'-x,y,-z'
'x,-y,z'
'x+1/2,y+1/2,z'
'-x+1/2,-y+1/2,-z'
'-x+1/2,y+1/2,-z'
'x+1/2,-y+1/2,z'
loop_
_atom_site_label
_atom_site_fract_x
_atom_site_fract_y
_atom_site_fract_z
Tb1 0.056 0.000 0.325
Tb2 0.085 0.500 0.887
Tb3 0.125 0.195 0.665
Tb4 0.151 0.315 0.239
Er1 0.000 0.500 0.500
Er2 0.196 0.000 0.010
Er3 0.234 0.500 0.580
Cd1 0.000 0.176 0.000
```

Entry 7:
The following is a calculated XRD peak list of Pa2ZnGa2Rh5. It was derived from a structure optimized by DFT (GGA-PBE), using CuKα.

Top 10 peaks for 2θ from 5° to 70°, sorted by position:
| two_theta | d [Å] | I/Imax | index |
| --- | --- | --- | --- |
| 32.1 | 2.787 | 51 | 2 1 1 |
| 36.0 | 2.497 | 16 | 2 2 1 |
| 38.1 | 2.360 | 68 | 4 1 0 |
| 38.4 | 2.347 | 100 | 3 1 1 |
| 39.3 | 2.293 | 18 | 3 3 0 |
| 41.5 | 2.176 | 15 | 4 2 0 |
| 41.7 | 2.165 | 41 | 3 2 1 |
| 50.3 | 1.815 | 24 | 0 0 2 |
| 64.8 | 1.439 | 29 | 4 1 2 |
| 66.0 | 1.416 | 14 | 6 2 1 |

Structural model:
```
data_Pa2ZnGa2Rh5
_cell_length_a 9.729
_cell_length_b 9.729
_cell_length_c 3.629
_cell_angle_alpha 90.00
_cell_angle_beta 90.00
_cell_angle_gamma 90.00
_space_group_name_H-M_alt 'P 4/m b m'
_space_group_IT_number 127
_space_group_name_Hall '-P 4 2ab'
loop_
_atom_site_label
_atom_site_fract_x
_atom_site_fract_y
_atom_site_fract_z
Pa1 0.178 0.322 0.000
Zn1 0.000 0.000 0.000
Ga1 0.120 0.620 0.000
Rh1 0.000 0.500 0.500
Rh2 0.086 0.800 0.500
```